No. 1
Starting from a structure optimized by DFT (GGA-PBE), the powder diffraction line list of Cs3LiI4 was calculated for λ = 1.5418 Å (Cu Kα).

Structural model:
```
data_Cs3LiI4
_symmetry_space_group_name_H-M 'P 1 21/m 1'
_symmetry_Int_Tables_number 11
_cell_length_a 5.1944
_cell_length_b 9.3335
_cell_length_c 17.5645
_cell_angle_alpha 90.00
_cell_angle_beta 98.49
_cell_angle_gamma 90.00
loop_
_symmetry_equiv_pos_as_xyz
'x,y,z'
'-x,-y,-z'
'-x,y+1/2,-z'
'x,-y+1/2,z'
loop_
_atom_site_label
_atom_site_type_symbol
_atom_site_fract_x
_atom_site_fract_y
_atom_site_fract_z
_atom_site_occupancy
Cs1 Cs 0.0000 0.0000 0.0000 1
Cs2 Cs 0.1285 0.2500 0.2601 1
Cs3 Cs 0.2276 0.7500 0.4576 1
Li1 Li 0.3714 0.2500 0.7387 1
I1 I 0.0925 0.7500 0.1881 1
I2 I 0.3208 0.0067 0.6386 1
I3 I 0.4538 0.7500 0.9069 1
```

The 10 most intense peaks (15° ≤ 2θ ≤ 90°), in order of falling intensity:
| 2theta | d [Å] | Rel. int. | index |
| --- | --- | --- | --- |
| 26.81 | 3.325 | 1000 | 1 2 1 |
| 24.50 | 3.634 | 487 | 0 2 3 |
| 23.41 | 3.800 | 484 | 1 1 2 |
| 28.81 | 3.099 | 483 | 1 0 4 |
| 48.86 | 1.864 | 297 | 1 4 4 |
| 34.53 | 2.597 | 264 | 2 0 -1 |
| 22.58 | 3.938 | 252 | 0 1 4 |
| 42.80 | 2.113 | 216 | 2 2 2 |
| 38.58 | 2.334 | 208 | 0 4 0 |
| 52.74 | 1.736 | 155 | 2 4 -1 |

---

No. 2
Starting from a structure optimized by DFT (GGA-PBE), the powder diffraction line list of CsLiMn2I6 was calculated for λ = 1.5418 Å (Cu Kα).

Structural model:
```
data_CsLiMn2I6
_symmetry_space_group_name_H-M 'C 1 2/c 1'
_symmetry_Int_Tables_number 15
_cell_length_a 15.6192
_cell_length_b 15.1039
_cell_length_c 8.3763
_cell_angle_alpha 90.00
_cell_angle_beta 111.29
_cell_angle_gamma 90.00
loop_
_symmetry_equiv_pos_as_xyz
'x,y,z'
'-x,-y,-z'
'-x,y,-z+1/2'
'x,-y,z+1/2'
'x+1/2,y+1/2,z'
'-x+1/2,-y+1/2,-z'
'-x+1/2,y+1/2,-z+1/2'
'x+1/2,-y+1/2,z+1/2'
loop_
_atom_site_label
_atom_site_type_symbol
_atom_site_fract_x
_atom_site_fract_y
_atom_site_fract_z
_atom_site_occupancy
Cs1 Cs 0.0000 0.1806 0.2500 1
Li1 Li 0.0000 0.3327 0.7500 1
Mn1 Mn 0.2272 0.0921 0.8183 1
I1 I 0.0920 0.4012 0.0858 1
I2 I 0.1508 0.0263 0.0451 1
I3 I 0.1520 0.2497 0.7023 1
```

The 10 most intense peaks (15° ≤ 2θ ≤ 90°), in order of falling intensity:
| 2theta | d [Å] | Rel. int. | index |
| --- | --- | --- | --- |
| 23.02 | 3.864 | 1000 | 1 3 1 |
| 25.55 | 3.486 | 838 | 3 1 1 |
| 25.06 | 3.554 | 698 | 3 3 -1 |
| 25.70 | 3.467 | 692 | 0 2 2 |
| 18.64 | 4.761 | 409 | 3 1 -1 |
| 17.75 | 4.997 | 388 | 2 2 -1 |
| 21.58 | 4.118 | 383 | 2 0 -2 |
| 27.79 | 3.210 | 367 | 1 3 -2 |
| 30.22 | 2.958 | 287 | 1 5 0 |
| 33.17 | 2.701 | 273 | 3 1 -3 |

---

No. 3
Starting from a structure optimized by DFT (GGA-PBE), the powder diffraction line list of Cs2LiMnI6 was calculated for λ = 1.5418 Å (Cu Kα).

Structural model:
```
data_Cs2LiMnI6
_symmetry_space_group_name_H-M 'P -3 m 1'
_symmetry_Int_Tables_number 164
_symmetry_space_group_name_Hall '-P 3 2"'
_cell_length_a 8.2061
_cell_length_b 8.2061
_cell_length_c 7.1049
_cell_angle_alpha 90.00
_cell_angle_beta 90.00
_cell_angle_gamma 120.00
loop_
_atom_site_label
_atom_site_type_symbol
_atom_site_fract_x
_atom_site_fract_y
_atom_site_fract_z
_atom_site_occupancy
Cs1 Cs 0.3333 0.6667 0.2702 1
Li1 Li 0.0000 0.0000 0.0000 1
Mn1 Mn 0.0000 0.0000 0.5000 1
I1 I 0.1607 0.3213 0.7319 1
```

The 10 most intense peaks (15° ≤ 2θ ≤ 90°), in order of falling intensity:
| 2theta | d [Å] | Rel. int. | index |
| --- | --- | --- | --- |
| 28.08 | 3.178 | 1000 | 2 0 1 |
| 25.06 | 3.553 | 430 | 0 0 2 |
| 51.44 | 1.777 | 265 | 0 0 4 |
| 46.06 | 1.971 | 255 | 2 0 3 |
| 35.74 | 2.512 | 243 | 0 2 2 |
| 44.15 | 2.052 | 214 | 2 2 0 |
| 71.49 | 1.320 | 187 | 2 0 5 |
| 53.14 | 1.724 | 163 | 0 4 1 |
| 58.05 | 1.589 | 111 | 0 2 4 |
| 82.58 | 1.168 | 111 | 4 2 3 |

---

No. 4
Starting from a structure optimized by DFT (GGA-PBE), the powder diffraction line list of CsLiNdI4 was calculated for λ = 1.5418 Å (Cu Kα).

Structural model:
```
data_CsLiNdI4
_symmetry_space_group_name_H-M 'P 1 21/m 1'
_symmetry_Int_Tables_number 11
_cell_length_a 7.5150
_cell_length_b 7.8972
_cell_length_c 10.1895
_cell_angle_alpha 90.00
_cell_angle_beta 99.25
_cell_angle_gamma 90.00
loop_
_symmetry_equiv_pos_as_xyz
'x,y,z'
'-x,-y,-z'
'-x,y+1/2,-z'
'x,-y+1/2,z'
loop_
_atom_site_label
_atom_site_type_symbol
_atom_site_fract_x
_atom_site_fract_y
_atom_site_fract_z
_atom_site_occupancy
Cs1 Cs 0.2126 0.2500 0.0715 1
Li1 Li 0.3870 0.2500 0.6755 1
Nd1 Nd 0.1273 0.7500 0.4642 1
I1 I 0.1425 0.5033 0.7205 1
I2 I 0.2863 0.7500 0.1728 1
I3 I 0.4454 0.2500 0.4254 1
```

The 10 most intense peaks (15° ≤ 2θ ≤ 90°), in order of falling intensity:
| 2theta | d [Å] | Rel. int. | index |
| --- | --- | --- | --- |
| 26.42 | 3.373 | 1000 | 1 2 -1 |
| 28.75 | 3.106 | 798 | 0 2 2 |
| 24.21 | 3.677 | 767 | 2 0 -1 |
| 44.52 | 2.035 | 706 | 3 2 -2 |
| 29.25 | 3.054 | 573 | 2 1 1 |
| 25.56 | 3.485 | 548 | 1 1 2 |
| 29.66 | 3.011 | 539 | 1 1 -3 |
| 27.71 | 3.219 | 520 | 1 2 1 |
| 35.38 | 2.537 | 505 | 2 2 1 |
| 27.38 | 3.258 | 437 | 1 0 -3 |

---

No. 5
Starting from a structure optimized by DFT (GGA-PBE), the powder diffraction line list of CsLiNp2I8 was calculated for λ = 1.5418 Å (Cu Kα).

Structural model:
```
data_CsLiNp2I8
_symmetry_space_group_name_H-M 'P -3'
_symmetry_Int_Tables_number 147
_cell_length_a 8.0046
_cell_length_b 8.0046
_cell_length_c 9.5654
_cell_angle_alpha 90.00
_cell_angle_beta 90.00
_cell_angle_gamma 120.00
loop_
_symmetry_equiv_pos_as_xyz
'x,y,z'
'-x,-y,-z'
'-y,x-y,z'
'y,-x+y,-z'
'-x+y,-x,z'
'x-y,x,-z'
loop_
_atom_site_label
_atom_site_type_symbol
_atom_site_fract_x
_atom_site_fract_y
_atom_site_fract_z
_atom_site_occupancy
Cs1 Cs 0.0000 0.0000 0.0000 1
Li1 Li 0.0000 0.0000 0.5000 1
Np1 Np 0.3333 0.6667 0.4113 1
I1 I 0.0659 0.3543 0.6552 1
I2 I 0.3333 0.6667 0.0937 1
```

The 10 most intense peaks (15° ≤ 2θ ≤ 90°), in order of falling intensity:
| 2theta | d [Å] | Rel. int. | index |
| --- | --- | --- | --- |
| 29.09 | 3.069 | 1000 | 2 -1 2 |
| 27.37 | 3.259 | 850 | 2 0 1 |
| 38.98 | 2.311 | 683 | 3 0 0 |
| 24.10 | 3.692 | 654 | 1 1 1 |
| 15.79 | 5.613 | 617 | 0 1 1 |
| 44.77 | 2.024 | 551 | 1 2 3 |
| 30.87 | 2.897 | 519 | 0 1 3 |
| 22.21 | 4.002 | 432 | 1 1 0 |
| 35.52 | 2.527 | 384 | 3 -2 1 |
| 38.36 | 2.347 | 375 | 2 0 3 |

---

No. 6
Starting from a structure optimized by DFT (GGA-PBE), the powder diffraction line list of Cs2Li3PaI12 was calculated for λ = 1.5418 Å (Cu Kα).

Structural model:
```
data_Cs2Li3PaI12
_symmetry_space_group_name_H-M 'R -3 m'
_symmetry_Int_Tables_number 166
_symmetry_space_group_name_Hall '-R 3 2"'
_cell_length_a 8.7868
_cell_length_b 8.7868
_cell_length_c 40.7585
_cell_angle_alpha 90.00
_cell_angle_beta 90.00
_cell_angle_gamma 120.00
loop_
_atom_site_label
_atom_site_type_symbol
_atom_site_fract_x
_atom_site_fract_y
_atom_site_fract_z
_atom_site_occupancy
Cs1 Cs 0.0000 0.0000 0.1032 1
Li1 Li 0.0000 0.5000 0.0000 1
Pa1 Pa 0.0000 0.0000 0.5000 1
I1 I 0.0140 0.5070 0.1252 1
I2 I 0.0299 0.5150 0.3675 1
```

The 10 most intense peaks (15° ≤ 2θ ≤ 90°), in order of falling intensity:
| 2theta | d [Å] | Rel. int. | index |
| --- | --- | --- | --- |
| 29.30 | 3.049 | 1000 | 2 0 8 |
| 24.98 | 3.564 | 992 | 0 2 4 |
| 41.09 | 2.197 | 456 | 2 2 0 |
| 15.93 | 5.563 | 418 | 0 1 5 |
| 42.70 | 2.117 | 262 | 0 2 16 |
| 49.43 | 1.844 | 218 | 2 2 12 |
| 33.34 | 2.687 | 207 | 1 1 12 |
| 24.78 | 3.593 | 192 | 1 0 10 |
| 51.26 | 1.782 | 189 | 0 4 8 |
| 26.24 | 3.397 | 179 | 0 0 12 |

---

No. 7
Starting from a structure optimized by DFT (GGA-PBE), the powder diffraction line list of Cs4LiSn3I12 was calculated for λ = 1.5418 Å (Cu Kα).

Structural model:
```
data_Cs4LiSn3I12
_symmetry_space_group_name_H-M 'I m -3 m'
_symmetry_Int_Tables_number 229
_symmetry_space_group_name_Hall '-I 4 2 3'
_cell_length_a 12.2929
_cell_length_b 12.2929
_cell_length_c 12.2929
_cell_angle_alpha 90.00
_cell_angle_beta 90.00
_cell_angle_gamma 90.00
loop_
_atom_site_label
_atom_site_type_symbol
_atom_site_fract_x
_atom_site_fract_y
_atom_site_fract_z
_atom_site_occupancy
Cs1 Cs 0.2500 0.2500 0.2500 1
Li1 Li 0.0000 0.0000 0.0000 1
Sn1 Sn 0.0000 0.0000 0.5000 1
I1 I 0.0000 0.0000 0.2483 1
I2 I 0.0000 0.2500 0.5000 1
```

The 10 most intense peaks (15° ≤ 2θ ≤ 90°), in order of falling intensity:
| 2theta | d [Å] | Rel. int. | index |
| --- | --- | --- | --- |
| 29.06 | 3.073 | 1000 | 4 0 0 |
| 25.09 | 3.549 | 934 | 2 2 2 |
| 41.56 | 2.173 | 751 | 4 4 0 |
| 49.16 | 1.853 | 431 | 6 2 2 |
| 68.24 | 1.374 | 345 | 8 4 0 |
| 51.51 | 1.774 | 267 | 4 4 4 |
| 75.82 | 1.255 | 258 | 8 4 4 |
| 66.28 | 1.410 | 174 | 6 6 2 |
| 81.34 | 1.183 | 131 | 10 2 2 |
| 60.23 | 1.537 | 125 | 8 0 0 |

---

No. 8
Starting from a structure optimized by DFT (GGA-PBE), the powder diffraction line list of CsLi4Sn3I12 was calculated for λ = 1.5418 Å (Cu Kα).

Structural model:
```
data_CsLi4Sn3I12
_symmetry_space_group_name_H-M 'R 3 2'
_symmetry_Int_Tables_number 155
_symmetry_space_group_name_Hall 'R 3 2"'
_cell_length_a 16.8648
_cell_length_b 16.8648
_cell_length_c 11.1009
_cell_angle_alpha 90.00
_cell_angle_beta 90.00
_cell_angle_gamma 120.00
loop_
_atom_site_label
_atom_site_type_symbol
_atom_site_fract_x
_atom_site_fract_y
_atom_site_fract_z
_atom_site_occupancy
Cs1 Cs 0.0000 0.0000 0.0000 1
Li1 Li 0.0000 0.0000 0.5000 1
Li2 Li 0.0000 0.4290 0.5000 1
Sn1 Sn 0.0000 0.5616 0.0000 1
I1 I 0.0000 0.5924 0.5000 1
I2 I 0.0000 0.8417 0.5000 1
I3 I 0.0659 0.2383 0.1556 1
```

The 10 most intense peaks (15° ≤ 2θ ≤ 90°), in order of falling intensity:
| 2theta | d [Å] | Rel. int. | index |
| --- | --- | --- | --- |
| 27.25 | 3.272 | 1000 | 3 1 2 |
| 23.38 | 3.805 | 495 | 1 3 1 |
| 39.36 | 2.289 | 355 | 1 3 4 |
| 17.95 | 4.943 | 273 | 2 1 1 |
| 42.90 | 2.108 | 240 | 4 4 0 |
| 46.50 | 1.953 | 235 | 0 7 2 |
| 34.70 | 2.585 | 200 | 5 0 2 |
| 49.78 | 1.832 | 166 | 4 4 3 |
| 24.05 | 3.700 | 163 | 0 0 3 |
| 55.07 | 1.668 | 141 | 7 0 4 |

---

No. 9
Starting from a structure optimized by DFT (GGA-PBE), the powder diffraction line list of Cs2LiTlI6 was calculated for λ = 1.5418 Å (Cu Kα).

Structural model:
```
data_Cs2LiTlI6
_symmetry_space_group_name_H-M 'I 4/m m m'
_symmetry_Int_Tables_number 139
_symmetry_space_group_name_Hall '-I 4 2'
_cell_length_a 8.5488
_cell_length_b 8.5488
_cell_length_c 12.0689
_cell_angle_alpha 90.00
_cell_angle_beta 90.00
_cell_angle_gamma 90.00
loop_
_atom_site_label
_atom_site_type_symbol
_atom_site_fract_x
_atom_site_fract_y
_atom_site_fract_z
_atom_site_occupancy
Cs1 Cs 0.0000 0.5000 0.2500 1
Li1 Li 0.0000 0.0000 0.0000 1
Tl1 Tl 0.0000 0.0000 0.5000 1
I1 I 0.0000 0.0000 0.2472 1
I2 I 0.2483 0.2483 0.0000 1
```

The 10 most intense peaks (15° ≤ 2θ ≤ 90°), in order of falling intensity:
| 2theta | d [Å] | Rel. int. | index |
| --- | --- | --- | --- |
| 29.57 | 3.021 | 1000 | 2 2 0 |
| 25.54 | 3.488 | 864 | 2 0 2 |
| 42.31 | 2.136 | 746 | 4 0 0 |
| 50.08 | 1.822 | 394 | 4 2 2 |
| 52.47 | 1.744 | 264 | 4 0 4 |
| 77.38 | 1.233 | 254 | 6 2 4 |
| 69.56 | 1.351 | 227 | 6 2 0 |
| 24.43 | 3.643 | 167 | 1 0 3 |
| 67.59 | 1.386 | 159 | 6 0 2 |
| 20.79 | 4.272 | 144 | 2 0 0 |

---

No. 10
Starting from a structure optimized by DFT (GGA-PBE), the powder diffraction line list of CsLiVI6 was calculated for λ = 1.5418 Å (Cu Kα).

Structural model:
```
data_CsLiVI6
_symmetry_space_group_name_H-M 'P 3 1 2'
_symmetry_Int_Tables_number 149
_cell_length_a 7.4122
_cell_length_b 7.4122
_cell_length_c 8.7407
_cell_angle_alpha 90.00
_cell_angle_beta 90.00
_cell_angle_gamma 120.00
loop_
_symmetry_equiv_pos_as_xyz
'x,y,z'
'-y,x-y,z'
'-x+y,-x,z'
'-y,-x,-z'
'-x+y,y,-z'
'x,x-y,-z'
loop_
_atom_site_label
_atom_site_type_symbol
_atom_site_fract_x
_atom_site_fract_y
_atom_site_fract_z
_atom_site_occupancy
Cs1 Cs 0.0000 0.0000 0.0000 1
Li1 Li 0.3333 0.6667 0.5000 1
V1 V 0.6667 0.3333 0.5000 1
I1 I 0.3787 0.0205 0.6814 1
```

The 10 most intense peaks (15° ≤ 2θ ≤ 90°), in order of falling intensity:
| 2theta | d [Å] | Rel. int. | index |
| --- | --- | --- | --- |
| 26.12 | 3.412 | 1000 | 1 1 1 |
| 31.65 | 2.827 | 657 | 2 -1 2 |
| 17.14 | 5.174 | 328 | 1 0 1 |
| 42.24 | 2.140 | 245 | 3 0 0 |
| 48.35 | 1.882 | 214 | 1 1 4 |
| 30.69 | 2.914 | 194 | 0 0 3 |
| 53.10 | 1.725 | 174 | 3 0 3 |
| 38.51 | 2.338 | 152 | 3 -1 1 |
| 50.34 | 1.813 | 112 | 4 -2 1 |
| 27.80 | 3.210 | 111 | 2 0 0 |

---

No. 11
Starting from a structure optimized by DFT (GGA-PBE), the powder diffraction line list of Cs3Mg2I7 was calculated for λ = 1.5418 Å (Cu Kα).

Structural model:
```
data_Cs3Mg2I7
_symmetry_space_group_name_H-M 'I 4/m m m'
_symmetry_Int_Tables_number 139
_symmetry_space_group_name_Hall '-I 4 2'
_cell_length_a 5.9397
_cell_length_b 5.9397
_cell_length_c 30.7750
_cell_angle_alpha 90.00
_cell_angle_beta 90.00
_cell_angle_gamma 90.00
loop_
_atom_site_label
_atom_site_type_symbol
_atom_site_fract_x
_atom_site_fract_y
_atom_site_fract_z
_atom_site_occupancy
Cs1 Cs 0.0000 0.0000 0.0000 1
Cs2 Cs 0.0000 0.0000 0.1801 1
Mg1 Mg 0.0000 0.0000 0.4016 1
I1 I 0.0000 0.0000 0.3082 1
I2 I 0.0000 0.0000 0.5000 1
I3 I 0.0000 0.5000 0.0938 1
```

The 10 most intense peaks (15° ≤ 2θ ≤ 90°), in order of falling intensity:
| 2theta | d [Å] | Rel. int. | index |
| --- | --- | --- | --- |
| 27.45 | 3.250 | 1000 | 1 1 6 |
| 30.09 | 2.970 | 649 | 2 0 0 |
| 24.14 | 3.686 | 381 | 1 1 4 |
| 51.84 | 1.764 | 336 | 3 1 6 |
| 42.29 | 2.137 | 321 | 2 0 10 |
| 43.08 | 2.100 | 248 | 2 2 0 |
| 29.01 | 3.077 | 227 | 0 0 10 |
| 52.31 | 1.749 | 190 | 1 1 16 |
| 52.78 | 1.734 | 178 | 2 2 10 |
| 70.01 | 1.344 | 159 | 3 1 16 |

---

No. 12
Starting from a structure optimized by DFT (GGA-PBE), the powder diffraction line list of CsRbMgI4 was calculated for λ = 1.5418 Å (Cu Kα).

Structural model:
```
data_CsRbMgI4
_symmetry_space_group_name_H-M 'P 1 21/m 1'
_symmetry_Int_Tables_number 11
_cell_length_a 8.4690
_cell_length_b 8.3746
_cell_length_c 10.6554
_cell_angle_alpha 90.00
_cell_angle_beta 108.30
_cell_angle_gamma 90.00
loop_
_symmetry_equiv_pos_as_xyz
'x,y,z'
'-x,-y,-z'
'-x,y+1/2,-z'
'x,-y+1/2,z'
loop_
_atom_site_label
_atom_site_type_symbol
_atom_site_fract_x
_atom_site_fract_y
_atom_site_fract_z
_atom_site_occupancy
Cs1 Cs 0.2270 0.2500 0.4311 1
Rb1 Rb 0.2750 0.2500 0.9465 1
Mg1 Mg 0.2768 0.7500 0.1916 1
I1 I 0.0899 0.7500 0.3610 1
I2 I 0.0951 0.7500 0.9305 1
I3 I 0.4971 0.0023 0.2498 1
```

The 10 most intense peaks (15° ≤ 2θ ≤ 90°), in order of falling intensity:
| 2theta | d [Å] | Rel. int. | index |
| --- | --- | --- | --- |
| 23.54 | 3.779 | 1000 | 2 0 -2 |
| 27.66 | 3.225 | 817 | 1 2 -2 |
| 23.96 | 3.714 | 624 | 1 2 0 |
| 25.87 | 3.444 | 475 | 1 1 2 |
| 33.64 | 2.664 | 262 | 1 0 -4 |
| 49.79 | 1.831 | 254 | 2 4 -2 |
| 30.83 | 2.900 | 225 | 2 2 0 |
| 39.16 | 2.301 | 215 | 3 2 -2 |
| 46.28 | 1.962 | 204 | 3 2 -4 |
| 41.73 | 2.165 | 200 | 0 2 4 |

---

Copy entry 9 word for word.
Starting from a structure optimized by DFT (GGA-PBE), the powder diffraction line list of Cs2LiTlI6 was calculated for λ = 1.5418 Å (Cu Kα).

Structural model:
```
data_Cs2LiTlI6
_symmetry_space_group_name_H-M 'I 4/m m m'
_symmetry_Int_Tables_number 139
_symmetry_space_group_name_Hall '-I 4 2'
_cell_length_a 8.5488
_cell_length_b 8.5488
_cell_length_c 12.0689
_cell_angle_alpha 90.00
_cell_angle_beta 90.00
_cell_angle_gamma 90.00
loop_
_atom_site_label
_atom_site_type_symbol
_atom_site_fract_x
_atom_site_fract_y
_atom_site_fract_z
_atom_site_occupancy
Cs1 Cs 0.0000 0.5000 0.2500 1
Li1 Li 0.0000 0.0000 0.0000 1
Tl1 Tl 0.0000 0.0000 0.5000 1
I1 I 0.0000 0.0000 0.2472 1
I2 I 0.2483 0.2483 0.0000 1
```

The 10 most intense peaks (15° ≤ 2θ ≤ 90°), in order of falling intensity:
| 2theta | d [Å] | Rel. int. | index |
| --- | --- | --- | --- |
| 29.57 | 3.021 | 1000 | 2 2 0 |
| 25.54 | 3.488 | 864 | 2 0 2 |
| 42.31 | 2.136 | 746 | 4 0 0 |
| 50.08 | 1.822 | 394 | 4 2 2 |
| 52.47 | 1.744 | 264 | 4 0 4 |
| 77.38 | 1.233 | 254 | 6 2 4 |
| 69.56 | 1.351 | 227 | 6 2 0 |
| 24.43 | 3.643 | 167 | 1 0 3 |
| 67.59 | 1.386 | 159 | 6 0 2 |
| 20.79 | 4.272 | 144 | 2 0 0 |

---

Q: Number 9 is which compound?
A: Cs2LiTlI6